No. 1
Computed XRD peak list of Nd6SnTe4 for Cu Kα, from a GGA-PBE-relaxed structure.
Kinematic intensities with the Lorentz-polarization factor, no thermal factor.

Structure:
Unit cell a=7.576 b=7.576 c=22.489 alpha=90.00 beta=90.00 gamma=145.91
Fractional coordinates of all 22 atoms:
Nd 0.000 0.000 0.000
Nd 0.000 0.000 0.500
Nd 0.173 0.827 0.750
Nd 0.267 0.733 0.104
Nd 0.267 0.733 0.396
Nd 0.439 0.561 0.668
Nd 0.439 0.561 0.832
Nd 0.561 0.439 0.168
Nd 0.561 0.439 0.332
Nd 0.733 0.267 0.604
Nd 0.733 0.267 0.896
Nd 0.827 0.173 0.250
Sn 0.171 0.829 0.250
Sn 0.829 0.171 0.750
Te 0.082 0.918 0.627
Te 0.082 0.918 0.873
Te 0.353 0.647 0.536
Te 0.353 0.647 0.964
Te 0.647 0.353 0.036
Te 0.647 0.353 0.464
Te 0.918 0.082 0.127
Te 0.918 0.082 0.373

Most intense lines, 5 to 70 degrees two-theta, by intensity:
28.43°, I = 1000; 40.64°, I = 874; 27.57°, I = 769; 26.78°, I = 576; 29.81°, I = 420; 38.40°, I = 390



No. 2
Computed XRD peak list of Nd2SnTe4 for Cu Kα, from a GGA-PBE-relaxed structure.
Kinematic intensities with the Lorentz-polarization factor, no thermal factor.

Structure:
Unit cell a=16.716 b=4.526 c=7.930 alpha=90.00 beta=116.34 gamma=90.00
Fractional coordinates of all 14 atoms:
Nd 0.233 0.000 0.221
Nd 0.267 0.500 0.779
Nd 0.733 0.500 0.221
Nd 0.767 0.000 0.779
Sn 0.000 0.500 0.500
Sn 0.500 0.000 0.500
Te 0.123 0.500 0.945
Te 0.136 0.000 0.488
Te 0.364 0.500 0.512
Te 0.377 0.000 0.055
Te 0.623 0.000 0.945
Te 0.636 0.500 0.488
Te 0.864 0.000 0.512
Te 0.877 0.500 0.055

Most intense lines, 5 to 70 degrees two-theta, by intensity:
25.41°, I = 1000; 25.79°, I = 772; 39.50°, I = 767; 32.75°, I = 744; 33.33°, I = 574; 39.83°, I = 399